Entry 1:
Structure and computed XRD peak list of U2Ge3Rh3 (DFT lattice parameters and positions (PBE); a wavelength of 1.5418 Å).

Atomic structure:
```
data_U2Ge3Rh3
_cell_length_a 2.7472
_cell_length_b 2.7472
_cell_length_c 20.5772
_cell_angle_alpha 90.00
_cell_angle_beta 90.00
_cell_angle_gamma 90.00
_symmetry_space_group_name_H-M 'P 4/m m m'
_symmetry_Int_Tables_number 123
_symmetry_space_group_name_Hall '-P 4 2'
loop_
_atom_site_label
_atom_site_type_symbol
_atom_site_fract_x
_atom_site_fract_y
_atom_site_fract_z
U1 U 0.0000 0.0000 0.2424
Ge1 Ge 0.0000 0.0000 0.0000
Ge2 Ge 0.0000 0.0000 0.3837
Rh1 Rh 0.0000 0.0000 0.1244
Rh2 Rh 0.0000 0.0000 0.5000
```

Most intense lines, 2θ from 10° to 80°, low angle first:
two_theta	I/Imax
17.2	16
32.6	100
33.8	12
34.9	38
46.8	37
48.5	60
59.6	32
68.3	12
77.7	17
79.0	15

***

Entry 2:
Structure and computed XRD peak list of YGe2Rh4 (DFT lattice parameters and positions (PBE); a wavelength of 1.5418 Å).

Atomic structure:
```
data_YGe2Rh4
_cell_length_a 11.5482
_cell_length_b 4.2330
_cell_length_c 9.1739
_cell_angle_alpha 90.00
_cell_angle_beta 90.00
_cell_angle_gamma 90.00
_symmetry_space_group_name_H-M 'P n m a'
_symmetry_Int_Tables_number 62
loop_
_symmetry_equiv_pos_as_xyz
'x,y,z'
'-x,-y,-z'
'-x+1/2,-y,z+1/2'
'x+1/2,y,-z+1/2'
'x+1/2,-y+1/2,-z+1/2'
'-x+1/2,y+1/2,z+1/2'
'-x,y+1/2,-z'
'x,-y+1/2,z'
loop_
_atom_site_label
_atom_site_type_symbol
_atom_site_fract_x
_atom_site_fract_y
_atom_site_fract_z
Y1 Y 0.1746 0.2500 0.1490
Ge1 Ge 0.0594 0.7500 0.3820
Ge2 Ge 0.1388 0.7500 0.9143
Rh1 Rh 0.0016 0.2500 0.8850
Rh2 Rh 0.0598 0.7500 0.6711
Rh3 Rh 0.1551 0.2500 0.4969
Rh4 Rh 0.2309 0.2500 0.8122
```

Most intense lines, 2θ from 10° to 80°, low angle first:
two_theta	I/Imax
37.1	100
37.6	17
37.7	41
39.0	27
39.6	25
42.7	51
45.8	26
46.1	9
58.2	9
74.5	12

***

Entry 3:
Structure and computed XRD peak list of Y3Ge2Rh2 (DFT lattice parameters and positions (PBE); a wavelength of 1.5418 Å).

Atomic structure:
```
data_Y3Ge2Rh2
_cell_length_a 5.6153
_cell_length_b 7.8842
_cell_length_c 13.2379
_cell_angle_alpha 90.00
_cell_angle_beta 90.00
_cell_angle_gamma 90.00
_symmetry_space_group_name_H-M 'P b c m'
_symmetry_Int_Tables_number 57
loop_
_symmetry_equiv_pos_as_xyz
'x,y,z'
'-x,-y,-z'
'-x,-y,z+1/2'
'x,y,-z+1/2'
'x,-y+1/2,-z'
'-x,y+1/2,z'
'-x,y+1/2,-z+1/2'
'x,-y+1/2,z+1/2'
loop_
_atom_site_label
_atom_site_type_symbol
_atom_site_fract_x
_atom_site_fract_y
_atom_site_fract_z
Y1 Y 0.1315 0.2481 0.2500
Y2 Y 0.3555 0.6066 0.1012
Ge1 Ge 0.1543 0.2500 0.0000
Ge2 Ge 0.3686 0.6075 0.7500
Rh1 Rh 0.1264 0.5380 0.5932
```

Most intense lines, 2θ from 10° to 80°, low angle first:
two_theta	I/Imax
33.4	40
33.9	37
34.4	48
35.4	45
37.8	63
39.0	24
39.7	100
40.9	28
49.0	20
66.6	21

***

Entry 4:
Structure and computed XRD peak list of YGe2Rh2 (DFT lattice parameters and positions (PBE); a wavelength of 1.5418 Å).

Atomic structure:
```
data_YGe2Rh2
_cell_length_a 4.1480
_cell_length_b 4.1480
_cell_length_c 10.3901
_cell_angle_alpha 90.00
_cell_angle_beta 90.00
_cell_angle_gamma 90.00
_symmetry_space_group_name_H-M 'I 4/m m m'
_symmetry_Int_Tables_number 139
_symmetry_space_group_name_Hall '-I 4 2'
loop_
_atom_site_label
_atom_site_type_symbol
_atom_site_fract_x
_atom_site_fract_y
_atom_site_fract_z
Y1 Y 0.0000 0.0000 0.0000
Ge1 Ge 0.0000 0.0000 0.3783
Rh1 Rh 0.0000 0.5000 0.2500
```

Most intense lines, 2θ from 10° to 80°, low angle first:
two_theta	I/Imax
17.1	21
33.7	43
35.1	100
43.6	58
46.7	34
49.0	17
56.3	19
62.3	15
63.4	19
74.6	21

***

Entry 5:
Structure and computed XRD peak list of Y3Ge13Rh4 (DFT lattice parameters and positions (PBE); a wavelength of 1.5418 Å).

Atomic structure:
```
data_Y3Ge13Rh4
_cell_length_a 9.0340
_cell_length_b 9.0340
_cell_length_c 9.0340
_cell_angle_alpha 90.00
_cell_angle_beta 90.00
_cell_angle_gamma 90.00
_symmetry_space_group_name_H-M 'P m -3 n'
_symmetry_Int_Tables_number 223
_symmetry_space_group_name_Hall '-P 4n 2 3'
loop_
_atom_site_label
_atom_site_type_symbol
_atom_site_fract_x
_atom_site_fract_y
_atom_site_fract_z
Y1 Y 0.0000 0.2500 0.5000
Ge1 Ge 0.0000 0.0000 0.0000
Ge2 Ge 0.0000 0.3095 0.1469
Rh1 Rh 0.2500 0.2500 0.2500
```

Most intense lines, 2θ from 10° to 80°, low angle first:
two_theta	I/Imax
19.7	18
34.4	16
35.8	100
37.2	40
39.9	29
41.2	16
44.9	22
49.4	38
63.5	14
69.0	19

***

Entry 6:
Structure and computed XRD peak list of ZrGeRh (DFT lattice parameters and positions (PBE); a wavelength of 1.5418 Å).

Atomic structure:
```
data_ZrGeRh
_cell_length_a 6.6657
_cell_length_b 4.0347
_cell_length_c 7.6340
_cell_angle_alpha 90.00
_cell_angle_beta 90.00
_cell_angle_gamma 90.00
_symmetry_space_group_name_H-M 'P n m a'
_symmetry_Int_Tables_number 62
loop_
_symmetry_equiv_pos_as_xyz
'x,y,z'
'-x,-y,-z'
'-x+1/2,-y,z+1/2'
'x+1/2,y,-z+1/2'
'x+1/2,-y+1/2,-z+1/2'
'-x+1/2,y+1/2,z+1/2'
'-x,y+1/2,-z'
'x,-y+1/2,z'
loop_
_atom_site_label
_atom_site_type_symbol
_atom_site_fract_x
_atom_site_fract_y
_atom_site_fract_z
Zr1 Zr 0.0222 0.2500 0.1875
Ge1 Ge 0.2320 0.7500 0.3795
Rh1 Rh 0.1468 0.2500 0.5622
```

Most intense lines, 2θ from 10° to 80°, low angle first:
two_theta	I/Imax
34.9	34
35.1	78
36.9	100
37.8	24
42.0	61
42.4	42
44.2	25
44.9	51
68.9	26
76.2	21

***

Entry 7:
Structure and computed XRD peak list of GeRu (DFT lattice parameters and positions (PBE); a wavelength of 1.5418 Å).

Atomic structure:
```
data_GeRu
_cell_length_a 4.8968
_cell_length_b 4.8968
_cell_length_c 4.8968
_cell_angle_alpha 90.00
_cell_angle_beta 90.00
_cell_angle_gamma 90.00
_symmetry_space_group_name_H-M 'P 21 3'
_symmetry_Int_Tables_number 198
_symmetry_space_group_name_Hall 'P 2ac 2ab 3'
loop_
_atom_site_label
_atom_site_type_symbol
_atom_site_fract_x
_atom_site_fract_y
_atom_site_fract_z
Ge1 Ge 0.0862 0.0862 0.0862
Ru1 Ru 0.1221 0.6221 0.8779
```

Most intense lines, 2θ from 10° to 80°, low angle first:
two_theta	I/Imax
25.7	7
31.6	16
36.7	6
41.2	100
45.4	55
56.4	4
63.0	13
69.2	6
72.2	31
78.1	8

***

Entry 8:
Structure and computed XRD peak list of Ge3Ru2 (DFT lattice parameters and positions (PBE); a wavelength of 1.5418 Å).

Atomic structure:
```
data_Ge3Ru2
_cell_length_a 11.5769
_cell_length_b 9.3383
_cell_length_c 5.7838
_cell_angle_alpha 90.00
_cell_angle_beta 90.00
_cell_angle_gamma 90.00
_symmetry_space_group_name_H-M 'P b c n'
_symmetry_Int_Tables_number 60
loop_
_symmetry_equiv_pos_as_xyz
'x,y,z'
'-x,-y,-z'
'-x+1/2,-y+1/2,z+1/2'
'x+1/2,y+1/2,-z+1/2'
'x+1/2,-y+1/2,-z'
'-x+1/2,y+1/2,z'
'-x,y,-z+1/2'
'x,-y,z+1/2'
loop_
_atom_site_label
_atom_site_type_symbol
_atom_site_fract_x
_atom_site_fract_y
_atom_site_fract_z
Ge1 Ge 0.0737 0.2194 0.0365
Ge2 Ge 0.1358 0.3999 0.5980
Ge3 Ge 0.1729 0.0679 0.4129
Ru1 Ru 0.0000 0.0459 0.7500
Ru2 Ru 0.0000 0.4272 0.2500
Ru3 Ru 0.2468 0.1874 0.7588
```

Most intense lines, 2θ from 10° to 80°, low angle first:
two_theta	I/Imax
24.5	23
36.0	36
36.3	42
39.8	100
44.3	32
44.7	50
51.2	47
64.7	11
70.6	9
73.1	15

***

Entry 9:
Structure and computed XRD peak list of Ge3Ru2 (DFT lattice parameters and positions (PBE); a wavelength of 1.5418 Å).

Atomic structure:
```
data_Ge3Ru2
_cell_length_a 5.7869
_cell_length_b 5.7869
_cell_length_c 9.3546
_cell_angle_alpha 90.00
_cell_angle_beta 90.00
_cell_angle_gamma 90.00
_symmetry_space_group_name_H-M 'P -4 c 2'
_symmetry_Int_Tables_number 116
loop_
_symmetry_equiv_pos_as_xyz
'x,y,z'
'y,-x,-z'
'-x,-y,z'
'-y,x,-z'
'-x,y,z+1/2'
'-y,-x,-z+1/2'
'x,-y,z+1/2'
'y,x,-z+1/2'
loop_
_atom_site_label
_atom_site_type_symbol
_atom_site_fract_x
_atom_site_fract_y
_atom_site_fract_z
Ge1 Ge 0.1525 0.2810 0.4151
Ge2 Ge 0.3254 0.3254 0.7500
Ru1 Ru 0.0000 0.0000 0.2500
Ru2 Ru 0.0000 0.5000 0.1236
Ru3 Ru 0.5000 0.5000 0.0000
```

Most intense lines, 2θ from 10° to 80°, low angle first:
two_theta	I/Imax
24.5	27
36.0	42
36.2	53
39.8	100
44.3	36
44.6	48
51.2	47
61.1	10
64.7	13
73.1	13

***

Entry 10:
Structure and computed XRD peak list of ScGe2Ru (DFT lattice parameters and positions (PBE); a wavelength of 1.5418 Å).

Atomic structure:
```
data_ScGe2Ru
_cell_length_a 9.3722
_cell_length_b 10.4315
_cell_length_c 8.1772
_cell_angle_alpha 90.00
_cell_angle_beta 90.00
_cell_angle_gamma 90.00
_symmetry_space_group_name_H-M 'P b a m'
_symmetry_Int_Tables_number 55
loop_
_symmetry_equiv_pos_as_xyz
'x,y,z'
'-x,-y,-z'
'-x,-y,z'
'x,y,-z'
'x+1/2,-y+1/2,-z'
'-x+1/2,y+1/2,z'
'-x+1/2,y+1/2,-z'
'x+1/2,-y+1/2,z'
loop_
_atom_site_label
_atom_site_type_symbol
_atom_site_fract_x
_atom_site_fract_y
_atom_site_fract_z
Sc1 Sc 0.1645 0.1784 0.0000
Sc2 Sc 0.1757 0.4501 0.2409
Ge1 Ge 0.0373 0.6171 0.5000
Ge2 Ge 0.0367 0.6175 0.0000
Ge3 Ge 0.1303 0.9045 0.5000
Ge4 Ge 0.1327 0.8983 0.0000
Ge5 Ge 0.1608 0.1802 0.3449
Ru1 Ru 0.0000 0.0000 0.2463
Ru2 Ru 0.0889 0.7382 0.2492
```

Most intense lines, 2θ from 10° to 80°, low angle first:
two_theta	I/Imax
18.9	26
35.7	38
37.2	88
38.7	53
39.1	100
39.4	41
41.1	82
44.3	37
45.6	30
49.4	39

***

What did the fifth record say?
Structure and computed XRD peak list of Y3Ge13Rh4 (DFT lattice parameters and positions (PBE); a wavelength of 1.5418 Å).

Atomic structure:
```
data_Y3Ge13Rh4
_cell_length_a 9.0340
_cell_length_b 9.0340
_cell_length_c 9.0340
_cell_angle_alpha 90.00
_cell_angle_beta 90.00
_cell_angle_gamma 90.00
_symmetry_space_group_name_H-M 'P m -3 n'
_symmetry_Int_Tables_number 223
_symmetry_space_group_name_Hall '-P 4n 2 3'
loop_
_atom_site_label
_atom_site_type_symbol
_atom_site_fract_x
_atom_site_fract_y
_atom_site_fract_z
Y1 Y 0.0000 0.2500 0.5000
Ge1 Ge 0.0000 0.0000 0.0000
Ge2 Ge 0.0000 0.3095 0.1469
Rh1 Rh 0.2500 0.2500 0.2500
```

Most intense lines, 2θ from 10° to 80°, low angle first:
two_theta	I/Imax
19.7	18
34.4	16
35.8	100
37.2	40
39.9	29
41.2	16
44.9	22
49.4	38
63.5	14
69.0	19